No. 1
Cs5Rb3Hg2: computed X-ray powder pattern (Cu Kα, 1.54184 Å), based on a crystal structure in Alexandria, relaxed with PBE.
Intensities are scaled so that the largest is 100.

Top 12 peaks for 10 to 90 degrees two-theta, by angle:
| 2θ (°) | I (rel.) |
| --- | --- |
| 11.57 | 62 |
| 21.43 | 43 |
| 23.14 | 100 |
| 23.27 | 23 |
| 24.86 | 82 |
| 26.47 | 41 |
| 32.76 | 25 |
| 35.22 | 18 |
| 37.17 | 25 |
| 48.82 | 21 |
| 56.69 | 19 |
| 58.05 | 18 |

Atomic structure:
Lattice parameters (Å, degrees): 17.0953 17.0953 5.4681 90.00 90.00 90.00
Space group P4/mbm (No. 127)
One atom of each set of equivalent atoms:
Cs 0.0000 0.5000 0.0000 (multiplicity 2)
Cs 0.0712 0.2216 0.0000 (multiplicity 8)
Rb 0.0000 0.0000 0.5000 (multiplicity 2)
Rb 0.1742 0.6742 0.5000 (multiplicity 4)
Hg 0.1208 0.3792 0.5000 (multiplicity 4)

---

No. 2
Ga2Sn2Te5: computed X-ray powder pattern (Cu Kα, 1.54184 Å), based on a crystal structure in Alexandria, relaxed with PBE.
Intensities are scaled so that the largest is 100.

Top 12 peaks for 10 to 90 degrees two-theta, by angle:
| 2θ (°) | I (rel.) |
| --- | --- |
| 18.77 | 14 |
| 19.51 | 22 |
| 22.81 | 15 |
| 24.59 | 32 |
| 27.91 | 100 |
| 32.34 | 15 |
| 38.69 | 28 |
| 38.85 | 51 |
| 40.86 | 39 |
| 41.14 | 24 |
| 50.41 | 13 |
| 57.74 | 15 |

Atomic structure:
Lattice parameters (Å, degrees): 15.8091 4.3887 10.9521 90.00 120.31 90.00
Space group C2/m (No. 12)
One atom of each set of equivalent atoms:
Ga 0.2090 0.0000 0.0870 (multiplicity 4)
Sn 0.0960 0.5000 0.4152 (multiplicity 4)
Te 0.0000 0.0000 0.5000 (multiplicity 2)
Te 0.1205 0.5000 0.9193 (multiplicity 4)
Te 0.2025 0.0000 0.3197 (multiplicity 4)

---

No. 3
PrNd3Tm7: computed X-ray powder pattern (Cu Kα, 1.54184 Å), based on a crystal structure in Alexandria, relaxed with PBE.
Intensities are scaled so that the largest is 100.

Top 12 peaks for 10 to 90 degrees two-theta, by angle:
| 2θ (°) | I (rel.) |
| --- | --- |
| 31.64 | 65 |
| 31.82 | 21 |
| 32.06 | 100 |
| 32.24 | 46 |
| 32.54 | 44 |
| 32.70 | 48 |
| 32.99 | 38 |
| 35.12 | 16 |
| 45.64 | 13 |
| 53.52 | 13 |
| 57.63 | 12 |
| 57.81 | 14 |

Atomic structure:
Lattice parameters (Å, degrees): 6.4980 6.6314 8.6063 98.83 98.93 94.83
Space group P-1 (No. 2)
One atom of each set of equivalent atoms:
Pr 0.0000 0.0000 0.0000 (multiplicity 1)
Nd 0.2959 0.4361 0.3416 (multiplicity 2)
Nd 0.5000 0.0000 0.5000 (multiplicity 1)
Tm 0.0000 0.5000 0.0000 (multiplicity 1)
Tm 0.0566 0.2069 0.6427 (multiplicity 2)
Tm 0.2303 0.7208 0.7171 (multiplicity 2)
Tm 0.4859 0.2379 0.9130 (multiplicity 2)

---

No. 4
RbYSe2O6: computed X-ray powder pattern (Cu Kα, 1.54184 Å), based on a crystal structure in Alexandria, relaxed with PBE.
Intensities are scaled so that the largest is 100.

Top 12 peaks for 10 to 90 degrees two-theta, by angle:
| 2θ (°) | I (rel.) |
| --- | --- |
| 23.27 | 40 |
| 26.24 | 76 |
| 27.89 | 100 |
| 29.61 | 28 |
| 30.60 | 36 |
| 33.28 | 14 |
| 43.48 | 14 |
| 43.85 | 18 |
| 50.88 | 15 |
| 52.74 | 16 |
| 54.41 | 19 |
| 56.46 | 19 |

Atomic structure:
Lattice parameters (Å, degrees): 14.0899 5.8440 9.0988 90.00 90.00 90.00
Space group Pnma (No. 62)
One atom of each set of equivalent atoms:
Rb 0.1212 0.2500 0.0125 (multiplicity 4)
Y 0.1058 0.7500 0.6859 (multiplicity 4)
Se 0.0584 0.7500 0.2885 (multiplicity 4)
Se 0.2043 0.2500 0.4820 (multiplicity 4)
O 0.0051 0.0205 0.7813 (multiplicity 8)
O 0.0279 0.7500 0.4703 (multiplicity 4)
O 0.1818 0.7500 0.9098 (multiplicity 4)
O 0.2096 0.0192 0.5999 (multiplicity 8)

---

No. 5
Nd2MgZn4Ge3: computed X-ray powder pattern (Cu Kα, 1.54184 Å), based on a crystal structure in Alexandria, relaxed with PBE.
Intensities are scaled so that the largest is 100.

Top 12 peaks for 10 to 90 degrees two-theta, by angle:
| 2θ (°) | I (rel.) |
| --- | --- |
| 29.88 | 24 |
| 32.17 | 65 |
| 34.07 | 100 |
| 42.77 | 53 |
| 46.22 | 39 |
| 54.52 | 34 |
| 58.73 | 8 |
| 62.08 | 17 |
| 64.79 | 28 |
| 71.67 | 9 |
| 72.75 | 21 |
| 83.37 | 12 |

Atomic structure:
Lattice parameters (Å, degrees): 4.2285 4.2285 11.0884 90.00 90.00 90.00
Space group P-4m2 (No. 115)
One atom of each set of equivalent atoms:
Nd 0.0000 0.5000 0.2429 (multiplicity 2)
Mg 0.0000 0.0000 0.5000 (multiplicity 1)
Zn 0.0000 0.0000 0.0000 (multiplicity 1)
Zn 0.0000 0.5000 0.6415 (multiplicity 2)
Zn 0.5000 0.5000 0.0000 (multiplicity 1)
Ge 0.0000 0.5000 0.8633 (multiplicity 2)
Ge 0.5000 0.5000 0.5000 (multiplicity 1)

---

No. 6
RuS2ICl: computed X-ray powder pattern (Cu Kα, 1.54184 Å), based on a crystal structure in Alexandria, relaxed with PBE.
Intensities are scaled so that the largest is 100.

Top 12 peaks for 10 to 90 degrees two-theta, by angle:
| 2θ (°) | I (rel.) |
| --- | --- |
| 26.47 | 100 |
| 27.00 | 50 |
| 32.79 | 24 |
| 37.00 | 30 |
| 38.56 | 53 |
| 46.40 | 23 |
| 47.38 | 41 |
| 54.51 | 37 |
| 55.67 | 17 |
| 68.74 | 18 |
| 74.07 | 11 |
| 75.31 | 11 |

Atomic structure:
Lattice parameters (Å, degrees): 4.6695 4.6695 4.8593 90.00 90.00 90.00
Space group P4/mmm (No. 123)
One atom of each set of equivalent atoms:
Ru 0.0000 0.0000 0.0000 (multiplicity 1)
S 0.0000 0.5000 0.0000 (multiplicity 2)
I 0.5000 0.5000 0.5000 (multiplicity 1)
Cl 0.0000 0.0000 0.5000 (multiplicity 1)

---

No. 7
Dy6BiOs2: computed X-ray powder pattern (Cu Kα, 1.54184 Å), based on a crystal structure in Alexandria, relaxed with PBE.
Intensities are scaled so that the largest is 100.

Top 12 peaks for 10 to 90 degrees two-theta, by angle:
| 2θ (°) | I (rel.) |
| --- | --- |
| 12.98 | 20 |
| 18.59 | 24 |
| 31.38 | 100 |
| 33.26 | 52 |
| 33.86 | 74 |
| 34.49 | 89 |
| 34.76 | 37 |
| 37.70 | 35 |
| 38.42 | 29 |
| 39.31 | 26 |
| 45.73 | 23 |
| 58.85 | 30 |

Atomic structure:
Lattice parameters (Å, degrees): 9.5443 9.7526 10.3879 90.00 90.00 90.00
Space group Immm (No. 71)
One atom of each set of equivalent atoms:
Dy 0.0000 0.2168 0.2410 (multiplicity 8)
Dy 0.1853 0.5000 0.1687 (multiplicity 8)
Dy 0.2191 0.3167 0.5000 (multiplicity 8)
Bi 0.0000 0.0000 0.0000 (multiplicity 2)
Bi 0.0000 0.0000 0.5000 (multiplicity 2)
Os 0.0000 0.3349 0.0000 (multiplicity 4)
Os 0.0000 0.5000 0.3792 (multiplicity 4)

---

No. 8
Pr3Ge2Rh3: computed X-ray powder pattern (Cu Kα, 1.54184 Å), based on a crystal structure in Alexandria, relaxed with PBE.
Intensities are scaled so that the largest is 100.

Top 12 peaks for 10 to 90 degrees two-theta, by angle:
| 2θ (°) | I (rel.) |
| --- | --- |
| 28.12 | 21 |
| 30.19 | 49 |
| 32.70 | 100 |
| 32.97 | 45 |
| 33.47 | 52 |
| 35.08 | 50 |
| 36.28 | 63 |
| 37.47 | 65 |
| 37.82 | 78 |
| 40.68 | 49 |
| 52.53 | 31 |
| 73.00 | 19 |

Atomic structure:
Lattice parameters (Å, degrees): 7.8252 15.3352 5.7986 90.00 90.00 90.00
Space group Pnma (No. 62)
One atom of each set of equivalent atoms:
Pr 0.0267 0.1067 0.1424 (multiplicity 8)
Pr 0.1655 0.2500 0.6138 (multiplicity 4)
Ge 0.1245 0.6024 0.3609 (multiplicity 8)
Rh 0.1659 0.0349 0.5960 (multiplicity 8)
Rh 0.1852 0.7500 0.5951 (multiplicity 4)

---

No. 9
Ba3SrBi2As: computed X-ray powder pattern (Cu Kα, 1.54184 Å), based on a crystal structure in Alexandria, relaxed with PBE.
Intensities are scaled so that the largest is 100.

Top 12 peaks for 10 to 90 degrees two-theta, by angle:
| 2θ (°) | I (rel.) |
| --- | --- |
| 21.17 | 77 |
| 23.31 | 46 |
| 28.45 | 30 |
| 28.72 | 41 |
| 28.83 | 100 |
| 29.18 | 24 |
| 29.61 | 57 |
| 30.62 | 52 |
| 41.72 | 30 |
| 42.29 | 21 |
| 43.12 | 41 |
| 53.31 | 26 |

Atomic structure:
Lattice parameters (Å, degrees): 5.8397 6.0335 18.3612 90.00 90.00 90.00
Space group Immm (No. 71)
One atom of each set of equivalent atoms:
Ba 0.0000 0.0000 0.0000 (multiplicity 2)
Ba 0.0000 0.5000 0.1765 (multiplicity 4)
Sr 0.0000 0.0000 0.5000 (multiplicity 2)
Bi 0.0000 0.5000 0.3705 (multiplicity 4)
As 0.0000 0.5000 0.0000 (multiplicity 2)

---

No. 10
Ac2Hg2BiSe2: computed X-ray powder pattern (Cu Kα, 1.54184 Å), based on a crystal structure in Alexandria, relaxed with PBE.
Intensities are scaled so that the largest is 100.

Top 12 peaks for 10 to 90 degrees two-theta, by angle:
| 2θ (°) | I (rel.) |
| --- | --- |
| 20.46 | 16 |
| 21.45 | 100 |
| 24.19 | 19 |
| 32.27 | 13 |
| 33.06 | 55 |
| 35.83 | 64 |
| 38.51 | 30 |
| 42.14 | 18 |
| 48.98 | 25 |
| 49.55 | 18 |
| 56.48 | 15 |
| 62.64 | 18 |

Atomic structure:
Lattice parameters (Å, degrees): 5.0124 5.0124 13.8698 90.00 90.00 120.00
Space group P-3m1 (No. 164)
One atom of each set of equivalent atoms:
Ac 0.3333 0.6667 0.1425 (multiplicity 2)
Hg 0.0000 0.0000 0.2910 (multiplicity 2)
Bi 0.0000 0.0000 0.5000 (multiplicity 1)
Se 0.3333 0.6667 0.9169 (multiplicity 2)

---

No. 11
Pr2Dy2HoMg5: computed X-ray powder pattern (Cu Kα, 1.54184 Å), based on a crystal structure in Alexandria, relaxed with PBE.
Intensities are scaled so that the largest is 100.

Top 12 peaks for 10 to 90 degrees two-theta, by angle:
| 2θ (°) | I (rel.) |
| --- | --- |
| 17.43 | 86 |
| 23.65 | 12 |
| 26.49 | 45 |
| 29.53 | 20 |
| 31.89 | 100 |
| 34.76 | 17 |
| 35.16 | 34 |
| 35.29 | 30 |
| 44.66 | 23 |
| 50.37 | 12 |
| 61.24 | 26 |
| 66.57 | 14 |

Atomic structure:
Lattice parameters (Å, degrees): 10.6403 10.6403 5.0870 90.00 90.00 90.00
Space group P4/mbm (No. 127)
One atom of each set of equivalent atoms:
Pr 0.1758 0.3242 0.0000 (multiplicity 4)
Dy 0.1213 0.6213 0.0000 (multiplicity 4)
Ho 0.0000 0.0000 0.0000 (multiplicity 2)
Mg 0.0000 0.5000 0.5000 (multiplicity 2)
Mg 0.0728 0.8041 0.5000 (multiplicity 8)

---

No. 12
LaPI2: computed X-ray powder pattern (Cu Kα, 1.54184 Å), based on a crystal structure in Alexandria, relaxed with PBE.
Intensities are scaled so that the largest is 100.

Top 12 peaks for 10 to 90 degrees two-theta, by angle:
| 2θ (°) | I (rel.) |
| --- | --- |
| 18.24 | 14 |
| 26.57 | 100 |
| 33.25 | 27 |
| 35.66 | 46 |
| 39.80 | 64 |
| 49.54 | 18 |
| 51.80 | 15 |
| 59.15 | 21 |
| 62.95 | 16 |
| 63.84 | 16 |
| 64.47 | 16 |
| 89.70 | 13 |

Atomic structure:
Lattice parameters (Å, degrees): 4.9921 4.9921 21.5584 90.00 90.00 90.00
Space group I-42d (No. 122)
One atom of each set of equivalent atoms:
La 0.0000 0.0000 0.0000 (multiplicity 4)
P 0.0000 0.0000 0.5000 (multiplicity 4)
I 0.2483 0.2500 0.6250 (multiplicity 8)